The following is a theoretical X-ray diffraction stick pattern of KNdTe4. It was derived from a cell relaxed with GGA-PBE, using Cu Kα.
Intensities are scaled so that the largest is 100.

The 6 most intense peaks (2θ = 10–90°), by angle:
| two_theta | I_rel | hkl |
| --- | --- | --- |
| 26.9 | 64.1 | 1 1 2 |
| 30.4 | 100.0 | 2 1 1 |
| 32.5 | 26.0 | 2 0 2 |
| 35.1 | 27.1 | 1 1 3 |
| 41.1 | 34.7 | 3 1 0 |
| 41.8 | 29.9 | 2 1 3 |

Cell and atoms:
Cell lengths 6.949, 6.949, 9.008 Å; angles 90.00, 90.00, 90.00 degrees
Sites, in units of the cell vectors:
K (0.250, 0.250, 0.000)
K (0.750, 0.750, 0.000)
Nd (0.250, 0.250, 0.500)
Nd (0.750, 0.750, 0.500)
Te (0.106, 0.606, 0.287)
Te (0.106, 0.894, 0.713)
Te (0.394, 0.606, 0.713)
Te (0.394, 0.894, 0.287)
Te (0.606, 0.106, 0.713)
Te (0.606, 0.394, 0.287)
Te (0.894, 0.106, 0.287)
Te (0.894, 0.394, 0.713)